# 1
Sn3WO6: theoretical PXRD pattern (λ = 1.5418 Å (Cu Kα)), based on a cell relaxed with PBE+U.
Neutral-atom scattering factors, no anomalous dispersion.

The 10 most intense peaks (2θ = 15–90°), most intense first:
28.44 deg, rel. 100
29.55 deg, rel. 58
27.27 deg, rel. 52
27.09 deg, rel. 45
31.45 deg, rel. 32
46.92 deg, rel. 30
37.07 deg, rel. 23
25.51 deg, rel. 23
48.21 deg, rel. 23
43.99 deg, rel. 16

Atomic structure:
a = 7.7845 Å, b = 7.7845 Å, c = 14.1881 Å
α = 109.18°, β = 109.18°, γ = 63.85°
Fractional coordinates of all 40 atoms:
1 Sn 0.0103 0.3203 0.8847
2 Sn 0.0448 0.7956 0.8857
3 Sn 0.2044 0.9552 0.6143
4 Sn 0.2760 0.4061 0.6220
5 Sn 0.3203 0.0103 0.3847
6 Sn 0.4061 0.2760 0.1220
7 Sn 0.5939 0.7240 0.8780
8 Sn 0.6797 0.9897 0.6153
9 Sn 0.7240 0.5939 0.3780
10 Sn 0.7956 0.0448 0.3857
11 Sn 0.9552 0.2044 0.1143
12 Sn 0.9897 0.6797 0.1153
13 W 0.2928 0.5556 0.4111
14 W 0.4444 0.7072 0.0889
15 W 0.5556 0.2928 0.9111
16 W 0.7072 0.4444 0.5889
17 O 0.0756 0.3513 0.0583
18 O 0.1029 0.8144 0.4565
19 O 0.1742 0.4919 0.2800
20 O 0.1856 0.8971 0.0435
21 O 0.2050 0.4242 0.4657
22 O 0.2948 0.5802 0.1180
23 O 0.3513 0.0756 0.5583
24 O 0.3558 0.5574 0.9232
25 O 0.4198 0.7052 0.3820
26 O 0.4242 0.2050 0.9657
27 O 0.4426 0.6442 0.5768
28 O 0.4919 0.1742 0.7800
29 O 0.5081 0.8258 0.2200
30 O 0.5574 0.3558 0.4232
31 O 0.5758 0.7950 0.0343
32 O 0.5802 0.2948 0.6180
33 O 0.6442 0.4426 0.0768
34 O 0.6487 0.9244 0.4417
35 O 0.7052 0.4198 0.8820
36 O 0.7950 0.5758 0.5343
37 O 0.8144 0.1029 0.9565
38 O 0.8258 0.5081 0.7200
39 O 0.8971 0.1856 0.5435
40 O 0.9244 0.6487 0.9417


# 2
SnW2O8: theoretical PXRD pattern (λ = 1.5418 Å (Cu Kα)), based on a cell relaxed with PBE+U.
Neutral-atom scattering factors, no anomalous dispersion.

The 10 most intense peaks (2θ = 15–90°), most intense first:
24.48 deg, rel. 100
27.94 deg, rel. 71
28.17 deg, rel. 64
21.45 deg, rel. 61
17.92 deg, rel. 60
39.11 deg, rel. 45
38.70 deg, rel. 38
45.72 deg, rel. 34
27.74 deg, rel. 33
36.29 deg, rel. 26

Atomic structure:
a = 5.1370 Å, b = 5.4867 Å, c = 6.7129 Å
α = 109.52°, β = 92.08°, γ = 105.06°
Fractional coordinates of all 11 atoms:
1 Sn 0.0000 0.0000 0.0000
2 W 0.2560 0.4722 0.8131
3 W 0.7440 0.5278 0.1869
4 O 0.0837 0.7622 0.1646
5 O 0.1397 0.7402 0.7585
6 O 0.3308 0.2931 0.5680
7 O 0.3759 0.2986 0.0297
8 O 0.6241 0.7014 0.9703
9 O 0.6692 0.7069 0.4320
10 O 0.8603 0.2598 0.2415
11 O 0.9163 0.2378 0.8354